1.
Structure and calculated powder X-ray diffraction pattern of Tb5Er8Sc (a structure optimized by DFT (PBE); Cu Ka).
Kinematic intensities with the Lorentz-polarization factor, no thermal factor.

Main lines, by intensity (2θ = 10–90°):
2θ = 34.44°, I 100
2θ = 29.88°, I 75
2θ = 29.74°, I 56
2θ = 28.61°, I 47
2θ = 35.41°, I 43
2θ = 35.05°, I 37
2θ = 56.03°, I 23
2θ = 32.30°, I 22
2θ = 64.42°, I 19
2θ = 49.06°, I 16

Cell and atoms:
```
Tb5Er8Sc
1.0
-4.7275 4.7275 4.9575
4.7275 -4.7275 4.9575
4.7275 4.7275 -4.9575
Tb Er Sc
5 8 1
Direct
0.0000 0.0000 0.0000
0.2099 0.5291 0.8969
0.4709 0.3678 0.6808
0.6322 0.3129 0.1031
0.6871 0.7901 0.3192
0.1601 0.0667 0.7318
0.3349 0.4283 0.2682
0.4166 0.0215 0.2563
0.5717 0.8399 0.9066
0.7652 0.1603 0.7437
0.8397 0.5834 0.6049
0.9333 0.6651 0.0934
0.9785 0.2348 0.3951
0.2500 0.7500 0.5000
```

=====

2.
Structure and calculated powder X-ray diffraction pattern of Ba6TlAu5 (a structure optimized by DFT (PBE); Cu Ka).
Kinematic intensities with the Lorentz-polarization factor, no thermal factor.

Main lines, by intensity (2θ = 10–90°):
2θ = 31.00°, I 100
2θ = 55.11°, I 26
2θ = 44.42°, I 19
2θ = 89.93°, I 13
2θ = 55.23°, I 13
2θ = 64.59°, I 10
2θ = 73.47°, I 8
2θ = 73.33°, I 8
2θ = 21.79°, I 5
2θ = 81.89°, I 2

Cell and atoms:
```
Ba6TlAu5
1.0
-2.8785 4.0839 8.6615
2.8785 -4.0839 8.6615
2.8785 4.0839 -8.6615
Ba Tl Au
6 1 5
Direct
0.0765 0.3300 0.7465
0.2392 0.0000 0.2392
0.4165 0.6700 0.7465
0.5835 0.3300 0.2535
0.7608 0.0000 0.7608
0.9235 0.6700 0.2535
0.5000 0.5000 0.0000
0.0000 0.5000 0.5000
0.1683 0.1683 0.0000
0.3410 0.8410 0.5000
0.6590 0.1590 0.5000
0.8317 0.8317 0.0000
```

=====

3.
Structure and calculated powder X-ray diffraction pattern of Nd3Hg3Pb (a structure optimized by DFT (PBE); Cu Ka).
Kinematic intensities with the Lorentz-polarization factor, no thermal factor.

Main lines, by intensity (2θ = 10–90°):
2θ = 33.12°, I 100
2θ = 33.38°, I 98
2θ = 59.33°, I 38
2θ = 47.73°, I 36
2θ = 23.34°, I 21
2θ = 59.16°, I 19
2θ = 59.84°, I 19
2θ = 79.32°, I 17
2θ = 79.77°, I 17
2θ = 69.50°, I 12

Cell and atoms:
```
Nd3Hg3Pb
1.0
5.4102 3.1236 2.1831
-5.4102 3.1236 2.1831
0.0000 -6.2471 2.1831
Nd Hg Pb
3 3 1
Direct
0.0001 0.4999 0.4999
0.4999 0.0001 0.4999
0.4999 0.4999 0.0001
0.0000 0.0000 0.4999
0.0000 0.4999 0.0000
0.4999 0.0000 0.0000
0.5010 0.5010 0.5010
```

=====

Copy entry 3 word for word.
Structure and calculated powder X-ray diffraction pattern of Nd3Hg3Pb (a structure optimized by DFT (PBE); Cu Ka).
Kinematic intensities with the Lorentz-polarization factor, no thermal factor.

Main lines, by intensity (2θ = 10–90°):
2θ = 33.12°, I 100
2θ = 33.38°, I 98
2θ = 59.33°, I 38
2θ = 47.73°, I 36
2θ = 23.34°, I 21
2θ = 59.16°, I 19
2θ = 59.84°, I 19
2θ = 79.32°, I 17
2θ = 79.77°, I 17
2θ = 69.50°, I 12

Cell and atoms:
```
Nd3Hg3Pb
1.0
5.4102 3.1236 2.1831
-5.4102 3.1236 2.1831
0.0000 -6.2471 2.1831
Nd Hg Pb
3 3 1
Direct
0.0001 0.4999 0.4999
0.4999 0.0001 0.4999
0.4999 0.4999 0.0001
0.0000 0.0000 0.4999
0.0000 0.4999 0.0000
0.4999 0.0000 0.0000
0.5010 0.5010 0.5010
```